(1)
This entry pairs a crystal structure of Li2NiSnO4 with its theoretical powder diffraction line list. Radiation: CuKα. Structure: a structure optimized by DFT (GGA+U).

Atomic structure:
Cell lengths 8.703, 8.516, 6.119 Å; angles 90.00, 134.28, 90.00 degrees
Space group C2/c (No. 15)
Inequivalent atoms, fractional coordinates:
1 Li 0.000 0.000 0.000
2 Li 0.250 0.250 0.000
3 Ni 0.000 0.500 0.000
4 Sn 0.250 0.250 0.500
5 O 0.002 0.250 0.014
6 O 0.236 0.491 0.485

Main lines, sorted by position (2θ from 10° to 80°):
2θ (°)	I/Imax	hkl
17.64	30	1 1 0
17.85	100	1 1 -1
34.05	19	3 1 -1
35.71	22	2 2 0
36.15	21	2 2 -2
41.21	28	0 0 2
41.51	28	4 0 -2
42.46	26	0 4 0

(2)
This entry pairs a crystal structure of Mn2PO4 with its theoretical powder diffraction line list. Radiation: CuKα. Structure: a structure optimized by DFT (GGA+U).

Atomic structure:
Cell lengths 10.940, 6.598, 4.923 Å; angles 90.00, 90.00, 90.00 degrees
Space group Pnma (No. 62)
Inequivalent atoms, fractional coordinates:
1 Mn 0.000 0.000 0.000
2 Mn 0.196 0.250 0.434
3 P 0.112 0.750 0.435
4 O 0.026 0.250 0.666
5 O 0.118 0.750 0.752
6 O 0.172 0.561 0.304

Main lines, sorted by position (2θ from 10° to 80°):
2θ (°)	I/Imax	hkl
23.97	19	1 1 1
30.51	94	3 0 1
31.67	24	2 2 0
33.46	23	3 1 1
33.71	100	1 2 1
37.45	18	1 0 2
49.09	33	2 2 2
52.02	20	6 1 0

(3)
This entry pairs a crystal structure of Li8Mn3Fe5B8O24 with its theoretical powder diffraction line list. Radiation: CuKα. Structure: a structure optimized by DFT (GGA+U).

Atomic structure:
Cell lengths 6.044, 9.712, 9.775 Å; angles 65.02, 79.57, 78.27 degrees
Space group P1 (No. 1)
Inequivalent atoms, fractional coordinates:
1 Li 0.000 0.000 0.000
2 Li 0.000 0.499 0.499
3 Li 0.408 0.565 0.370
4 Li 0.409 0.067 0.871
5 Li 0.500 0.001 0.500
6 Li 0.502 0.500 0.002
7 Li 0.909 0.567 0.871
8 Li 0.910 0.067 0.372
9 Mn 0.268 0.826 0.810
10 Mn 0.767 0.825 0.310
11 Mn 0.768 0.327 0.810
12 Fe 0.139 0.742 0.556
13 Fe 0.141 0.242 0.057
14 Fe 0.270 0.323 0.309
15 Fe 0.636 0.243 0.555
16 Fe 0.640 0.741 0.056
17 B 0.119 0.167 0.645
18 B 0.122 0.663 0.148
19 B 0.289 0.400 0.722
20 B 0.289 0.899 0.223
21 B 0.621 0.166 0.149
22 B 0.621 0.666 0.647
23 B 0.789 0.901 0.722
24 B 0.792 0.400 0.223
25 O 0.119 0.895 0.342
26 O 0.121 0.396 0.842
27 O 0.131 0.545 0.290
28 O 0.132 0.050 0.789
29 O 0.276 0.020 0.082
30 O 0.276 0.519 0.582
31 O 0.292 0.172 0.528
32 O 0.296 0.668 0.032
33 O 0.439 0.287 0.122
34 O 0.440 0.787 0.618
35 O 0.469 0.278 0.746
36 O 0.469 0.778 0.246
37 O 0.621 0.396 0.340
38 O 0.621 0.896 0.842
39 O 0.630 0.550 0.791
40 O 0.631 0.049 0.291
41 O 0.776 0.020 0.582
42 O 0.779 0.519 0.082
43 O 0.793 0.169 0.032
44 O 0.795 0.667 0.533
45 O 0.937 0.287 0.618
46 O 0.941 0.785 0.120
47 O 0.969 0.778 0.746
48 O 0.972 0.278 0.248

Main lines, sorted by position (2θ from 10° to 80°):
2θ (°)	I/Imax	hkl
20.38	83	0 2 0
22.22	33	0 2 2
22.49	62	1 1 -1
33.45	100	2 2 2
34.11	33	-1 1 3
34.72	26	-1 3 1
40.98	33	0 0 4
62.00	26	1 -5 1

(4)
This entry pairs a crystal structure of NiP2O10 with its theoretical powder diffraction line list. Radiation: CuKα. Structure: a structure optimized by DFT (GGA+U).

Atomic structure:
Cell lengths 5.182, 9.553, 8.574 Å; angles 90.00, 123.79, 90.00 degrees
Space group P2_1/c (No. 14)
Inequivalent atoms, fractional coordinates:
1 Ni 0.000 0.000 0.000
2 P 0.403 0.208 0.671
3 O 0.064 0.536 0.295
4 O 0.112 0.156 0.663
5 O 0.287 0.665 0.653
6 O 0.375 0.133 0.140
7 O 0.405 0.142 0.506

Main lines, sorted by position (2θ from 10° to 80°):
2θ (°)	I/Imax	hkl
15.51	74	0 1 1
19.51	65	1 1 -1
21.81	86	1 0 -2
22.65	27	1 1 0
26.71	37	0 1 2
27.89	100	1 2 0
30.75	42	0 3 1
32.71	32	1 1 -3

(5)
This entry pairs a crystal structure of K2Cr4CoH4O16 with its theoretical powder diffraction line list. Radiation: CuKα. Structure: a structure optimized by DFT (GGA+U).

Atomic structure:
Cell lengths 6.965, 7.830, 7.987 Å; angles 89.86, 81.68, 63.75 degrees
Space group P-1 (No. 2)
Inequivalent atoms, fractional coordinates:
1 K 0.207 0.238 0.173
2 Cr 0.229 0.002 0.668
3 Cr 0.239 0.705 0.164
4 Co 0.500 0.500 0.500
5 H 0.242 0.348 0.617
6 H 0.306 0.419 0.775
7 O 0.046 0.943 0.243
8 O 0.132 0.628 0.032
9 O 0.222 0.155 0.525
10 O 0.256 0.458 0.666
11 O 0.294 0.561 0.322
12 O 0.348 0.031 0.818
13 O 0.351 0.780 0.585
14 O 0.456 0.716 0.073

Main lines, sorted by position (2θ from 10° to 80°):
2θ (°)	I/Imax	hkl
14.29	48	1 1 0
19.07	36	1 1 -1
24.78	100	1 0 2
25.34	49	1 2 1
25.84	53	1 2 -1
27.13	48	-1 1 1
28.96	36	2 0 0
42.86	45	2 2 3

(6)
This entry pairs a crystal structure of Li2Cr3WO8 with its theoretical powder diffraction line list. Radiation: CuKα. Structure: a structure optimized by DFT (GGA+U).

Atomic structure:
Cell lengths 8.533, 8.541, 8.553 Å; angles 90.02, 90.07, 90.13 degrees
Space group P1 (No. 1)
Inequivalent atoms, fractional coordinates:
1 Li 0.000 0.000 0.000
2 Li 0.012 0.487 0.500
3 Li 0.250 0.237 0.752
4 Li 0.263 0.738 0.263
5 Li 0.500 0.988 0.513
6 Li 0.513 0.499 0.012
7 Li 0.751 0.750 0.764
8 Li 0.763 0.250 0.251
9 Cr 0.129 0.368 0.133
10 Cr 0.132 0.871 0.634
11 Cr 0.133 0.121 0.383
12 Cr 0.381 0.369 0.382
13 Cr 0.382 0.621 0.630
14 Cr 0.382 0.869 0.880
15 Cr 0.630 0.617 0.380
16 Cr 0.632 0.118 0.882
17 Cr 0.633 0.867 0.129
18 Cr 0.879 0.618 0.133
19 Cr 0.881 0.367 0.883
20 Cr 0.884 0.117 0.634
21 W 0.131 0.618 0.882
22 W 0.381 0.119 0.131
23 W 0.632 0.368 0.632
24 W 0.881 0.869 0.382
25 O 0.114 0.878 0.393
26 O 0.116 0.103 0.616
27 O 0.120 0.380 0.893
28 O 0.122 0.608 0.115
29 O 0.142 0.857 0.869
30 O 0.143 0.627 0.649
31 O 0.146 0.131 0.141
32 O 0.147 0.353 0.366
33 O 0.366 0.853 0.647
34 O 0.367 0.629 0.871
35 O 0.370 0.129 0.370
36 O 0.372 0.351 0.143
37 O 0.392 0.106 0.894
38 O 0.393 0.886 0.123
39 O 0.397 0.380 0.621
40 O 0.397 0.603 0.397
41 O 0.616 0.884 0.898
42 O 0.617 0.108 0.121
43 O 0.620 0.602 0.623
44 O 0.621 0.381 0.393
45 O 0.642 0.135 0.642
46 O 0.643 0.358 0.870
47 O 0.646 0.634 0.148
48 O 0.650 0.857 0.373
49 O 0.866 0.135 0.866
50 O 0.866 0.357 0.641
51 O 0.869 0.859 0.144
52 O 0.871 0.632 0.371
53 O 0.892 0.880 0.620
54 O 0.894 0.105 0.391
55 O 0.896 0.610 0.895
56 O 0.897 0.384 0.116

Main lines, sorted by position (2θ from 10° to 80°):
2θ (°)	I/Imax	hkl
14.67	26	1 -1 0
17.99	100	1 1 1
23.28	38	2 -1 0
34.83	47	1 1 3
36.44	23	2 2 2
42.30	34	0 4 0
42.37	17	4 0 0
61.37	26	4 0 4

(7)
This entry pairs a crystal structure of V3O5F with its theoretical powder diffraction line list. Radiation: CuKα. Structure: a structure optimized by DFT (GGA+U).

Atomic structure:
Cell lengths 8.964, 6.394, 7.274 Å; angles 90.00, 112.48, 90.00 degrees
Space group C2/m (No. 12)
Inequivalent atoms, fractional coordinates:
1 V 0.000 0.000 0.000
2 V 0.000 0.000 0.500
3 V 0.154 0.500 0.184
4 V 0.172 0.500 0.658
5 O 0.000 0.307 0.000
6 O 0.064 0.500 0.369
7 O 0.101 0.000 0.304
8 O 0.168 0.198 0.671
9 F 0.238 0.000 0.034

Main lines, sorted by position (2θ from 10° to 80°):
2θ (°)	I/Imax	hkl
27.03	91	2 0 -2
27.91	97	0 2 0
35.38	100	1 1 2
53.28	28	1 1 -4
53.43	27	5 1 -2
54.35	56	1 3 2
68.57	20	1 3 -4
68.70	19	5 3 -2